Diffraction record for MnCu2O4. The powder diffractogram is theoretical, not measured: it uses DFT lattice parameters and positions (PBE+U) and a wavelength of 1.5418 Å.

Cell and atoms:
Unit cell a=5.1430 b=9.5593 c=2.8822 alpha=90.00 beta=90.00 gamma=90.00
Space group Cmmm (No. 65)
One atom of each set of equivalent atoms:
Mn (0.0000, 0.0000, 0.0000)
Cu (0.0000, 0.3270, 0.5000)
O (0.2493, 0.5000, 0.5000)
O (0.2500, 0.2500, 0.0000)

Top 10 peaks for 5 to 70 degrees two-theta, in order of rising 2θ:
| d [Å] | intensity |
| --- | --- |
| 2.882 | 11 |
| 2.709 | 100 |
| 2.571 | 19 |
| 2.432 | 57 |
| 1.974 | 14 |
| 1.781 | 54 |
| 1.522 | 18 |
| 1.510 | 15 |
| 1.456 | 10 |
| 1.441 | 10 |